Entry 1:
Diffraction record for PaIrRuPt. The powder diffractogram is calculated, not measured: it uses DFT lattice parameters and positions (PBE) and Cu Kα X-rays.

Most intense lines, 5 to 70 degrees two-theta, in order of rising 2θ:
two_theta, I_rel
22.43, 3
38.12, 100
42.89, 18
44.22, 17
45.78, 15
63.30, 12
64.53, 11
65.53, 10

a b c (Å): 3.9643 4.0966 4.2168
angles (deg): 90.00 90.00 90.00
Atoms (fractional coordinates):
Pa: 0.0000 0.0000 0.0000
Ir: 0.5000 0.0000 0.5000
Ru: 0.5000 0.5000 0.0000
Pt: 0.0000 0.5000 0.5000

Entry 2:
Diffraction record for Li6InAu2. The powder diffractogram is calculated, not measured: it uses DFT lattice parameters and positions (PBE) and Cu Kα X-rays.

Most intense lines, 5 to 70 degrees two-theta, in order of rising 2θ:
two_theta, I_rel
13.28, 8
23.10, 100
31.49, 15
39.42, 58
40.58, 28
47.18, 10
52.26, 21
57.83, 13

a b c (Å): 7.7056 7.7056 2.8406
angles (deg): 90.03 90.03 59.87
Atoms (fractional coordinates):
Li: 0.1590 0.5004 0.9975
Li: 0.1595 0.8405 0.0000
Li: 0.5004 0.1590 0.9975
Li: 0.4996 0.8410 0.0025
Li: 0.8405 0.1595 0.0000
Li: 0.8410 0.4996 0.0025
In: 0.5000 0.5000 0.5000
Au: 0.1667 0.1667 0.5006
Au: 0.8333 0.8333 0.4994